This entry pairs a crystal structure of MgFe2O4 with its simulated XRD peak list. Radiation: Cu Kα. Structure: the GGA+U geometry in the Materials Project.

Principal peaks in the range 2θ from 15° to 90°, by angle:
| (hkl) | two_theta | I/Imax |
| --- | --- | --- |
| 0 2 0 | 17.17 | 100 |
| 2 0 1 | 35.11 | 25 |
| 0 2 2 | 39.22 | 21 |
| 2 2 1 | 39.33 | 47 |
| 0 4 2 | 50.13 | 22 |
| 2 4 1 | 50.22 | 40 |
| 2 0 3 | 62.82 | 18 |
| 2 6 1 | 65.33 | 15 |

Structural model:
Cell: 5.896 10.329 5.130 Å, 90.00 90.00 90.00°
Fractional positions:
Mg: 0.250 0.250 0.016
Mg: 0.250 0.750 0.353
Mg: 0.750 0.250 0.647
Mg: 0.750 0.750 0.984
Fe: 0.000 0.000 0.500
Fe: 0.000 0.500 0.500
Fe: 0.250 0.520 0.991
Fe: 0.250 0.980 0.991
Fe: 0.500 0.000 0.500
Fe: 0.500 0.500 0.500
Fe: 0.750 0.020 0.009
Fe: 0.750 0.480 0.009
O: 0.004 0.115 0.832
O: 0.004 0.385 0.832
O: 0.250 0.099 0.302
O: 0.250 0.401 0.302
O: 0.250 0.609 0.645
O: 0.250 0.891 0.645
O: 0.496 0.115 0.832
O: 0.496 0.385 0.832
O: 0.504 0.615 0.168
O: 0.504 0.885 0.168
O: 0.750 0.109 0.355
O: 0.750 0.391 0.355
O: 0.750 0.599 0.698
O: 0.750 0.901 0.698
O: 0.996 0.615 0.168
O: 0.996 0.885 0.168